(1)
Structure and computed PXRD pattern of LaCeRh4 (DFT lattice parameters and positions (GGA-PBE); Cu Kα (λ = 1.5418 Å)).

Crystal structure
```
data_LaCeRh4
_cell_length_a 7.639
_cell_length_b 7.639
_cell_length_c 7.639
_cell_angle_alpha 90.00
_cell_angle_beta 90.00
_cell_angle_gamma 90.00
_space_group_name_H-M_alt 'F -4 3 m'
_space_group_IT_number 216
_space_group_name_Hall 'F -4 2 3'
loop_
_atom_site_label
_atom_site_type_symbol
_atom_site_fract_x
_atom_site_fract_y
_atom_site_fract_z
_atom_site_occupancy
La1 La 0.000 0.000 0.000 1
Ce1 Ce 0.250 0.250 0.250 1
Rh1 Rh 0.125 0.125 0.625 1
```

Most intense lines, 10° ≤ 2θ ≤ 90°, low angle first:
2θ (°)  I (rel.)
33.2  362
39.1  1000
40.9  316
47.6  18
59.3  136
63.2  319
69.6  263
79.3  58
82.9  111
84.0  114

***

(2)
Structure and computed PXRD pattern of LaCeRu4 (DFT lattice parameters and positions (GGA-PBE); Cu Kα (λ = 1.5418 Å)).

Crystal structure
```
data_LaCeRu4
_cell_length_a 7.647
_cell_length_b 7.647
_cell_length_c 7.647
_cell_angle_alpha 90.00
_cell_angle_beta 90.00
_cell_angle_gamma 90.00
_space_group_name_H-M_alt 'F -4 3 m'
_space_group_IT_number 216
_space_group_name_Hall 'F -4 2 3'
loop_
_atom_site_label
_atom_site_type_symbol
_atom_site_fract_x
_atom_site_fract_y
_atom_site_fract_z
_atom_site_occupancy
La1 La 0.000 0.000 0.000 1
Ce1 Ce 0.250 0.250 0.750 1
Ru1 Ru 0.125 0.125 0.375 1
```

Most intense lines, 10° ≤ 2θ ≤ 90°, low angle first:
2θ (°)  I (rel.)
33.1  371
39.1  1000
40.9  309
47.6  16
59.2  140
63.2  318
69.5  262
79.2  60
82.8  111
83.9  111

***

(3)
Structure and computed PXRD pattern of LaCeSn2Ru2 (DFT lattice parameters and positions (GGA-PBE); Cu Kα (λ = 1.5418 Å)).

Crystal structure
```
data_LaCeSn2Ru2
_cell_length_a 11.769
_cell_length_b 4.846
_cell_length_c 5.105
_cell_angle_alpha 90.00
_cell_angle_beta 102.61
_cell_angle_gamma 90.00
_space_group_name_H-M_alt 'C 1 m 1'
_space_group_IT_number 8
_space_group_name_Hall 'C -2y'
loop_
_atom_site_label
_atom_site_type_symbol
_atom_site_fract_x
_atom_site_fract_y
_atom_site_fract_z
_atom_site_occupancy
La1 La 0.000 0.000 0.000 1
Ce1 Ce 0.265 0.000 0.646 1
Sn1 Sn 0.041 0.500 0.513 1
Sn2 Sn 0.215 0.500 0.128 1
Ru1 Ru 0.314 0.000 0.161 1
Ru2 Ru 0.435 0.500 0.468 1
```

Most intense lines, 10° ≤ 2θ ≤ 90°, low angle first:
2θ (°)  I (rel.)
27.9  475
29.7  969
31.1  443
32.0  1000
36.0  825
37.1  913
37.5  677
42.6  423
52.7  560
63.7  433

***

(4)
Structure and computed PXRD pattern of La2CeS4 (DFT lattice parameters and positions (GGA-PBE); Cu Kα (λ = 1.5418 Å)).

Crystal structure
```
data_La2CeS4
_cell_length_a 8.721
_cell_length_b 8.721
_cell_length_c 8.689
_cell_angle_alpha 90.00
_cell_angle_beta 90.00
_cell_angle_gamma 90.00
_space_group_name_H-M_alt 'I -4 2 d'
_space_group_IT_number 122
_space_group_name_Hall 'I -4 2bw'
loop_
_atom_site_label
_atom_site_type_symbol
_atom_site_fract_x
_atom_site_fract_y
_atom_site_fract_z
_atom_site_occupancy
La1 La 0.125 0.250 0.125 1
Ce1 Ce 0.000 0.000 0.500 1
S1 S 0.075 0.176 0.798 1
```

Most intense lines, 10° ≤ 2θ ≤ 90°, low angle first:
2θ (°)  I (rel.)
25.0  1000
32.5  660
32.6  326
38.7  616
46.6  273
46.7  137
49.1  266
53.6  210
66.1  252
81.1  161

***

(5)
Structure and computed PXRD pattern of La2CeTe4 (DFT lattice parameters and positions (GGA-PBE); Cu Kα (λ = 1.5418 Å)).

Crystal structure
```
data_La2CeTe4
_cell_length_a 9.634
_cell_length_b 9.634
_cell_length_c 9.617
_cell_angle_alpha 90.00
_cell_angle_beta 90.00
_cell_angle_gamma 90.00
_space_group_name_H-M_alt 'I -4 2 d'
_space_group_IT_number 122
_space_group_name_Hall 'I -4 2bw'
loop_
_atom_site_label
_atom_site_type_symbol
_atom_site_fract_x
_atom_site_fract_y
_atom_site_fract_z
_atom_site_occupancy
La1 La 0.125 0.250 0.125 1
Ce1 Ce 0.000 0.000 0.500 1
Te1 Te 0.076 0.174 0.797 1
```

Most intense lines, 10° ≤ 2θ ≤ 90°, low angle first:
2θ (°)  I (rel.)
29.3  1000
34.9  732
42.0  156
44.1  109
46.2  163
48.2  170
59.1  240
60.8  76
62.5  154
72.1  133

***

(6)
Structure and computed PXRD pattern of LaCeZn2 (DFT lattice parameters and positions (GGA-PBE); Cu Kα (λ = 1.5418 Å)).

Crystal structure
```
data_LaCeZn2
_cell_length_a 7.414
_cell_length_b 7.414
_cell_length_c 7.414
_cell_angle_alpha 90.00
_cell_angle_beta 90.00
_cell_angle_gamma 90.00
_space_group_name_H-M_alt 'F m -3 m'
_space_group_IT_number 225
_space_group_name_Hall '-F 4 2 3'
loop_
_atom_site_label
_atom_site_type_symbol
_atom_site_fract_x
_atom_site_fract_y
_atom_site_fract_z
_atom_site_occupancy
La1 La 0.000 0.000 0.000 1
Ce1 Ce 0.000 0.000 0.500 1
Zn1 Zn 0.250 0.250 0.250 1
```

Most intense lines, 10° ≤ 2θ ≤ 90°, low angle first:
2θ (°)  I (rel.)
24.0  124
34.2  1000
42.2  37
49.2  177
55.4  53
61.2  361
72.1  110
77.2  26
82.2  153
87.2  16

***

(7)
Structure and computed PXRD pattern of Li3Ce (DFT lattice parameters and positions (GGA-PBE); Cu Kα (λ = 1.5418 Å)).

Crystal structure
```
data_Li3Ce
_cell_length_a 7.443
_cell_length_b 7.443
_cell_length_c 7.443
_cell_angle_alpha 90.00
_cell_angle_beta 90.00
_cell_angle_gamma 90.00
_space_group_name_H-M_alt 'F m -3 m'
_space_group_IT_number 225
_space_group_name_Hall '-F 4 2 3'
loop_
_atom_site_label
_atom_site_type_symbol
_atom_site_fract_x
_atom_site_fract_y
_atom_site_fract_z
_atom_site_occupancy
Li1 Li 0.000 0.000 0.000 1
Li2 Li 0.250 0.250 0.250 1
Ce1 Ce 0.000 0.000 0.500 1
```

Most intense lines, 10° ≤ 2θ ≤ 90°, low angle first:
2θ (°)  I (rel.)
20.7  1000
23.9  528
34.1  566
40.2  540
42.1  158
53.7  232
55.2  213
61.0  210
65.1  172
75.6  168

***

(8)
Structure and computed PXRD pattern of LiCeMg14 (DFT lattice parameters and positions (GGA-PBE); Cu Kα (λ = 1.5418 Å)).

Crystal structure
```
data_LiCeMg14
_cell_length_a 10.389
_cell_length_b 6.429
_cell_length_c 11.310
_cell_angle_alpha 90.00
_cell_angle_beta 90.00
_cell_angle_gamma 90.00
_space_group_name_H-M_alt 'A m m 2'
_space_group_IT_number 38
_space_group_name_Hall 'A 2 -2'
loop_
_atom_site_label
_atom_site_type_symbol
_atom_site_fract_x
_atom_site_fract_y
_atom_site_fract_z
_atom_site_occupancy
Li1 Li 0.000 0.000 0.000 1
Ce1 Ce 0.000 0.000 0.502 1
Mg1 Mg 0.000 0.246 0.753 1
Mg2 Mg 0.247 0.000 0.168 1
Mg3 Mg 0.253 0.000 0.669 1
Mg4 Mg 0.253 0.248 0.918 1
Mg5 Mg 0.500 0.000 0.001 1
Mg6 Mg 0.500 0.000 0.502 1
Mg7 Mg 0.500 0.249 0.752 1
```

Most intense lines, 10° ≤ 2θ ≤ 90°, low angle first:
2θ (°)  I (rel.)
15.9  355
18.0  537
23.4  303
28.8  182
32.0  265
34.5  386
36.2  520
36.5  1000
63.2  201
68.0  200